Record 1
This entry pairs a crystal structure of La10Er9S27 with its calculated powder diffractogram. Radiation: Cu Kα (λ = 1.5418 Å). Structure: DFT lattice parameters and positions (PBE).
Neutral-atom scattering factors, no anomalous dispersion.

Principal peaks in the range 2θ from 10° to 80°, in order of falling intensity:
2θ/deg  Rel. int.
25.87  100
24.09  95
25.61  93
35.06  47
46.03  44
52.62  38
30.96  37
43.65  36
31.16  33
24.95  31
26.04  24
26.48  24

Structure:
a b c (Å): 3.9434 15.0053 18.8760
angles (deg): 99.15 95.98 97.55
Fractional coordinates of all 46 atoms:
La 0.0000 0.0000 0.0000
La 0.0073 0.3057 0.7111
La 0.0730 0.2341 0.9151
La 0.2067 0.5191 0.8876
La 0.2455 0.1621 0.3282
La 0.3773 0.4486 0.3012
La 0.4398 0.3757 0.5050
La 0.4550 0.6820 0.2160
La 0.6449 0.8872 0.3984
La 0.8056 0.7949 0.8172
Er 0.0519 0.6473 0.4675
Er 0.0689 0.9325 0.1951
Er 0.3899 0.7486 0.0206
Er 0.3929 0.0353 0.7486
Er 0.6215 0.5575 0.6843
Er 0.6812 0.2217 0.1369
Er 0.7246 0.8421 0.6081
Er 0.7717 0.4592 0.0797
Er 0.8259 0.1247 0.5317
S 0.0312 0.4466 0.6160
S 0.0580 0.8145 0.2931
S 0.1390 0.1125 0.1621
S 0.1687 0.8346 0.5065
S 0.2065 0.6446 0.7675
S 0.2261 0.3400 0.1078
S 0.2424 0.0371 0.4489
S 0.2790 0.8481 0.7092
S 0.3148 0.5689 0.0555
S 0.3955 0.8671 0.9230
S 0.4159 0.2344 0.6006
S 0.5034 0.2169 0.7943
S 0.5117 0.6571 0.3725
S 0.5141 0.9277 0.0927
S 0.5670 0.1436 0.9936
S 0.6058 0.6541 0.5714
S 0.6106 0.4414 0.7769
S 0.6538 0.0128 0.2880
S 0.6633 0.3866 0.9403
S 0.7859 0.2959 0.2760
S 0.8024 0.6683 0.9280
S 0.8383 0.0299 0.6452
S 0.8395 0.2410 0.4391
S 0.8847 0.5384 0.2223
S 0.9332 0.0229 0.8427
S 0.9429 0.4657 0.4224
S 0.9439 0.7537 0.1228

***

Record 2
This entry pairs a crystal structure of SrH2O3 with its calculated powder diffractogram. Radiation: Cu Kα (λ = 1.5418 Å). Structure: DFT lattice parameters and positions (PBE).
Neutral-atom scattering factors, no anomalous dispersion.

Principal peaks in the range 2θ from 10° to 80°, in order of falling intensity:
2θ/deg  Rel. int.
41.32  100
20.32  99
39.40  69
15.14  65
31.22  62
27.12  59
36.16  52
33.53  51
23.46  49
28.04  33
50.57  30
44.12  29

Structure:
a b c (Å): 3.7927 5.8513 6.5755
angles (deg): 90.00 90.00 90.00
Fractional coordinates of all 12 atoms:
Sr 0.0000 0.1414 0.0000
Sr 0.0000 0.8586 0.5000
H 0.2117 0.3817 0.5834
H 0.2117 0.6183 0.0834
H 0.7883 0.3817 0.5834
H 0.7883 0.6183 0.0834
O 0.0000 0.2841 0.6235
O 0.0000 0.7159 0.1235
O 0.5000 0.0638 0.2797
O 0.5000 0.4300 0.0177
O 0.5000 0.5700 0.5177
O 0.5000 0.9362 0.7797

***

Record 3
This entry pairs a crystal structure of CaGa3Co2 with its calculated powder diffractogram. Radiation: Cu Kα (λ = 1.5418 Å). Structure: DFT lattice parameters and positions (PBE).
Neutral-atom scattering factors, no anomalous dispersion.

Principal peaks in the range 2θ from 10° to 80°, in order of falling intensity:
2θ/deg  Rel. int.
45.59  100
34.16  89
14.64  56
36.39  41
41.53  36
17.97  31
48.31  26
50.77  23
47.54  22
59.17  19
60.86  16
51.20  14

Structure:
a b c (Å): 6.2456 6.2456 5.2848
angles (deg): 90.00 90.00 75.59
Fractional coordinates of all 12 atoms:
Ca 0.1615 0.8385 0.7500
Ca 0.8385 0.1615 0.2500
Ga 0.0250 0.5858 0.2500
Ga 0.4142 0.9750 0.2500
Ga 0.4457 0.5543 0.2500
Ga 0.5543 0.4457 0.7500
Ga 0.5858 0.0250 0.7500
Ga 0.9750 0.4142 0.7500
Co 0.2988 0.2988 0.0000
Co 0.2988 0.2988 0.5000
Co 0.7012 0.7012 0.0000
Co 0.7012 0.7012 0.5000